No. 1
For CePr4Nd10, a crystal structure in Alexandria, relaxed with GGA-PBE gives the calculated PXRD pattern in this record (Cu Ka).
Neutral-atom scattering factors, no anomalous dispersion.

Main lines, sorted by position (10° ≤ 2θ ≤ 90°):
2θ = 24.4°, intensity 11
2θ = 26.9°, intensity 26
2θ = 30.0°, intensity 25
2θ = 31.0°, intensity 100
2θ = 33.0°, intensity 30
2θ = 34.0°, intensity 13
2θ = 39.9°, intensity 30
2θ = 44.4°, intensity 12
2θ = 52.1°, intensity 13
2θ = 55.3°, intensity 11
2θ = 64.3°, intensity 12
2θ = 65.8°, intensity 16

Cell and atoms:
```
15
Lattice="-5.7706 5.7706 4.0593 5.7706 -5.7706 4.0593 5.7706 5.7706 -4.0593" Properties=species:S:1:pos:R:3 pbc="T T T"
Ce 0.0000 0.0000 0.0000
Pr 2.6095 2.6095 0.0000
Pr 3.1611 -3.1611 4.0593
Pr -3.1611 3.1611 4.0593
Pr 3.1611 3.1611 4.0593
Nd 5.7706 3.3519 -1.6986
Nd 5.7706 0.0000 2.0296
Nd 3.3519 5.7706 -1.6986
Nd 2.4187 0.0000 2.3607
Nd 0.0000 2.4187 2.3607
Nd 5.7706 3.3519 1.6986
Nd 3.3519 5.7706 1.6986
Nd 2.4187 0.0000 5.7578
Nd 0.0000 5.7706 2.0296
Nd 0.0000 2.4187 5.7578
```



No. 2
For CePr7Nd4, a crystal structure in Alexandria, relaxed with GGA-PBE gives the calculated PXRD pattern in this record (Cu Ka).
Neutral-atom scattering factors, no anomalous dispersion.

Main lines, sorted by position (10° ≤ 2θ ≤ 90°):
2θ = 29.6°, intensity 33
2θ = 29.6°, intensity 100
2θ = 34.3°, intensity 23
2θ = 34.4°, intensity 45
2θ = 49.4°, intensity 40
2θ = 58.5°, intensity 10
2θ = 58.6°, intensity 19
2θ = 58.7°, intensity 29
2θ = 61.5°, intensity 8
2θ = 61.6°, intensity 8
2θ = 80.2°, intensity 10
2θ = 82.8°, intensity 13

Cell and atoms:
```
12
Lattice="6.3914 0.0000 0.0000 -2.1130 7.0666 0.0000 -1.0369 -2.2245 9.4536" Properties=species:S:1:pos:R:3 pbc="T T T"
Ce 0.0000 0.0000 0.0000
Pr -1.0565 3.5333 0.0000
Pr -2.1034 3.2478 6.3243
Pr 2.1412 0.6517 4.7267
Pr 1.0796 6.1209 1.5495
Pr 2.1619 -1.2788 7.9042
Pr 1.1002 4.1904 4.7269
Pr 5.3448 1.5943 3.1293
Nd -1.0337 -0.3227 6.3353
Nd 2.1215 2.5489 1.5611
Nd 1.1200 2.2932 7.8926
Nd 4.2752 5.1648 3.1183
```



No. 3
For CePr4Nd15, a crystal structure in Alexandria, relaxed with GGA-PBE gives the calculated PXRD pattern in this record (Cu Ka).
Neutral-atom scattering factors, no anomalous dispersion.

Main lines, sorted by position (10° ≤ 2θ ≤ 90°):
2θ = 29.7°, intensity 100
2θ = 34.4°, intensity 51
2θ = 49.5°, intensity 36
2θ = 58.7°, intensity 29
2θ = 58.9°, intensity 14
2θ = 61.7°, intensity 12
2θ = 72.5°, intensity 4
2θ = 80.2°, intensity 6
2θ = 80.4°, intensity 12
2θ = 82.8°, intensity 5
2θ = 82.8°, intensity 5
2θ = 83.0°, intensity 5

Cell and atoms:
```
20
Lattice="5.2151 0.0000 0.0000 0.0000 5.2151 0.0000 0.0000 0.0000 26.0090" Properties=species:S:1:pos:R:3 pbc="T T T"
Ce 0.0000 0.0000 0.0000
Pr 0.0000 0.0000 5.1641
Pr 0.0000 0.0000 10.3957
Pr 0.0000 0.0000 15.6132
Pr 0.0000 0.0000 20.8448
Nd 0.0000 2.6076 2.5324
Nd 0.0000 2.6076 7.7749
Nd 0.0000 2.6076 13.0045
Nd 0.0000 2.6076 18.2341
Nd 0.0000 2.6076 23.4765
Nd 2.6076 0.0000 2.5324
Nd 2.6076 0.0000 7.7749
Nd 2.6076 0.0000 13.0045
Nd 2.6076 0.0000 18.2341
Nd 2.6076 0.0000 23.4765
Nd 2.6076 2.6076 0.0000
Nd 2.6076 2.6076 5.1830
Nd 2.6076 2.6076 10.3954
Nd 2.6076 2.6076 15.6135
Nd 2.6076 2.6076 20.8259
```



No. 4
For CePr6NdTm2, a crystal structure in Alexandria, relaxed with GGA-PBE gives the calculated PXRD pattern in this record (Cu Ka).
Neutral-atom scattering factors, no anomalous dispersion.

Main lines, sorted by position (10° ≤ 2θ ≤ 90°):
2θ = 26.5°, intensity 31
2θ = 28.5°, intensity 21
2θ = 30.0°, intensity 35
2θ = 30.6°, intensity 100
2θ = 30.9°, intensity 38
2θ = 31.0°, intensity 30
2θ = 32.5°, intensity 36
2θ = 32.6°, intensity 30
2θ = 32.8°, intensity 26
2θ = 34.6°, intensity 26
2θ = 51.6°, intensity 18
2θ = 54.6°, intensity 21

Cell and atoms:
```
10
Lattice="5.6493 -3.5431 0.0000 5.6493 3.5431 0.0000 -1.8317 0.0000 8.7629" Properties=species:S:1:pos:R:3 pbc="T T T"
Ce 0.0000 0.0000 0.0000
Pr 3.3749 1.6557 1.7548
Pr 0.7285 0.0000 3.6959
Pr 6.0919 1.6557 7.0081
Pr 3.3749 -1.6557 1.7548
Pr 8.7383 0.0000 5.0671
Pr 6.0919 -1.6557 7.0081
Nd 4.7334 0.0000 4.3815
Tm 3.0462 0.0000 7.4033
Tm 6.4207 0.0000 1.3597
```



No. 5
For CeNdPt3, a crystal structure in Alexandria, relaxed with GGA-PBE gives the calculated PXRD pattern in this record (Cu Ka).
Neutral-atom scattering factors, no anomalous dispersion.

Main lines, sorted by position (10° ≤ 2θ ≤ 90°):
2θ = 22.7°, intensity 21
2θ = 33.9°, intensity 42
2θ = 34.6°, intensity 100
2θ = 35.8°, intensity 52
2θ = 36.3°, intensity 41
2θ = 39.5°, intensity 27
2θ = 43.3°, intensity 29
2θ = 44.4°, intensity 23
2θ = 46.4°, intensity 29
2θ = 60.3°, intensity 18
2θ = 71.2°, intensity 17
2θ = 75.7°, intensity 18

Cell and atoms:
```
20
Lattice="7.1531 0.0000 0.0000 0.0000 7.9089 0.0000 0.0000 0.0000 7.8340" Properties=species:S:1:pos:R:3 pbc="T T T"
Ce 1.5349 1.0827 0.0000
Ce 2.0416 5.0372 3.9170
Ce 5.1115 2.8718 3.9170
Ce 5.6182 6.8262 0.0000
Nd 1.5023 1.0928 3.9170
Nd 2.0743 5.0472 0.0000
Nd 5.0788 2.8617 0.0000
Nd 5.6508 6.8162 3.9170
Pt 0.0000 3.9545 2.0530
Pt 0.0000 3.9545 5.7810
Pt 0.8520 6.7722 1.9571
Pt 0.8520 6.7722 5.8769
Pt 2.7246 2.8177 1.9599
Pt 2.7246 2.8177 5.8741
Pt 3.5766 0.0000 1.8640
Pt 3.5766 0.0000 5.9700
Pt 4.4285 5.0912 1.9599
Pt 4.4285 5.0912 5.8741
Pt 6.3012 1.1368 1.9571
Pt 6.3012 1.1368 5.8769
```



No. 6
For Ce3NdPu, a crystal structure in Alexandria, relaxed with GGA-PBE gives the calculated PXRD pattern in this record (Cu Ka).
Neutral-atom scattering factors, no anomalous dispersion.

Main lines, sorted by position (10° ≤ 2θ ≤ 90°):
2θ = 15.0°, intensity 41
2θ = 17.8°, intensity 46
2θ = 23.4°, intensity 29
2θ = 29.6°, intensity 96
2θ = 30.2°, intensity 35
2θ = 35.3°, intensity 60
2θ = 36.1°, intensity 100
2θ = 47.8°, intensity 40
2θ = 51.4°, intensity 42
2θ = 52.0°, intensity 36
2θ = 53.3°, intensity 38
2θ = 77.7°, intensity 26

Cell and atoms:
```
10
Lattice="7.0288 0.0000 0.0000 0.0000 7.0277 0.0000 0.0000 0.0000 5.9101" Properties=species:S:1:pos:R:3 pbc="T T T"
Ce 0.0000 0.0000 5.9076
Ce 0.0000 3.5139 0.0000
Ce 1.7572 1.7497 2.6307
Ce 3.5144 0.0000 5.9076
Ce 3.5144 3.5139 0.0000
Ce 5.2716 5.2781 2.6307
Nd 1.7572 5.2651 3.3205
Nd 5.2716 1.7626 3.3205
Pu 1.7572 1.7572 5.1492
Pu 5.2716 5.2705 5.1492
```



No. 7
For CeNd4Pu3S8, a crystal structure in Alexandria, relaxed with GGA-PBE gives the calculated PXRD pattern in this record (Cu Ka).
Neutral-atom scattering factors, no anomalous dispersion.

Main lines, sorted by position (10° ≤ 2θ ≤ 90°):
2θ = 27.0°, intensity 22
2θ = 27.2°, intensity 66
2θ = 31.5°, intensity 100
2θ = 45.0°, intensity 37
2θ = 45.2°, intensity 36
2θ = 53.3°, intensity 11
2θ = 53.5°, intensity 33
2θ = 56.1°, intensity 19
2θ = 65.7°, intensity 12
2θ = 74.5°, intensity 17
2θ = 74.8°, intensity 16
2θ = 83.3°, intensity 13

Cell and atoms:
```
16
Lattice="4.0140 2.3175 6.5928 -4.0140 2.3175 6.5928 0.0000 -4.6350 6.5928" Properties=species:S:1:pos:R:3 pbc="T T T"
Ce 0.0000 0.0000 0.0000
Nd -4.0140 0.0000 9.8892
Nd -2.0070 1.1587 3.2964
Nd 2.0070 1.1587 3.2964
Nd 0.0000 0.0000 9.8892
Pu -2.0070 -1.1587 6.5928
Pu -2.0070 1.1587 13.1855
Pu 0.0000 2.3175 6.5928
S 0.0000 -2.2976 8.1863
S -1.9898 1.1488 8.1863
S 0.0000 0.0000 5.0176
S -1.9898 -1.1488 11.5921
S 1.9898 1.1488 8.1862
S 0.0000 0.0000 14.7608
S 1.9898 -1.1488 11.5921
S 0.0000 2.2976 11.5921
```



No. 8
For CeNd2Rh2, a crystal structure in Alexandria, relaxed with GGA-PBE gives the calculated PXRD pattern in this record (Cu Ka).
Neutral-atom scattering factors, no anomalous dispersion.

Main lines, sorted by position (10° ≤ 2θ ≤ 90°):
2θ = 28.0°, intensity 24
2θ = 28.7°, intensity 30
2θ = 31.3°, intensity 74
2θ = 31.9°, intensity 61
2θ = 34.3°, intensity 100
2θ = 36.4°, intensity 49
2θ = 36.8°, intensity 36
2θ = 39.4°, intensity 28
2θ = 40.6°, intensity 23
2θ = 49.1°, intensity 26
2θ = 51.6°, intensity 29
2θ = 57.1°, intensity 25

Cell and atoms:
```
10
Lattice="5.6719 -3.1064 0.0000 5.6719 3.1064 0.0000 -1.3993 0.0000 7.2565" Properties=species:S:1:pos:R:3 pbc="T T T"
Ce 4.6224 2.6033 5.4424
Ce 5.3221 -2.6033 1.8141
Nd 3.4202 0.6698 2.5498
Nd 2.7205 -0.6698 6.1780
Nd 7.2239 0.6698 1.0785
Nd 6.5243 -0.6698 4.7068
Rh 1.7138 0.7157 0.1705
Rh 1.0141 -0.7157 3.7988
Rh 8.9303 0.7157 3.4577
Rh 8.2307 -0.7157 7.0860
```



No. 9
For Ce3NdRh2, a crystal structure in Alexandria, relaxed with GGA-PBE gives the calculated PXRD pattern in this record (Cu Ka).
Neutral-atom scattering factors, no anomalous dispersion.

Main lines, sorted by position (10° ≤ 2θ ≤ 90°):
2θ = 29.1°, intensity 38
2θ = 29.6°, intensity 17
2θ = 32.8°, intensity 100
2θ = 33.6°, intensity 95
2θ = 33.7°, intensity 15
2θ = 35.0°, intensity 29
2θ = 36.7°, intensity 20
2θ = 37.5°, intensity 56
2θ = 39.1°, intensity 61
2θ = 42.9°, intensity 17
2θ = 52.5°, intensity 25
2θ = 68.3°, intensity 17

Cell and atoms:
```
12
Lattice="8.1774 -2.3013 0.0000 8.1774 2.3013 0.0000 -3.9321 0.0000 7.4696" Properties=species:S:1:pos:R:3 pbc="T T T"
Ce -0.5826 0.0000 3.2364
Ce 2.2731 0.0000 4.7354
Ce 4.9386 0.0000 2.2969
Ce 7.4840 0.0000 5.1727
Ce 10.1495 0.0000 2.7343
Ce 13.0052 0.0000 4.2332
Nd 1.6909 0.0000 0.2021
Nd 10.7317 0.0000 7.2675
Rh 0.4354 0.0000 6.5805
Rh 4.6245 0.0000 6.0110
Rh 7.7981 0.0000 1.4587
Rh 11.9872 0.0000 0.8891
```



No. 10
For CeNdRh2, a crystal structure in Alexandria, relaxed with GGA-PBE gives the calculated PXRD pattern in this record (Cu Ka).
Neutral-atom scattering factors, no anomalous dispersion.

Main lines, sorted by position (10° ≤ 2θ ≤ 90°):
2θ = 32.4°, intensity 100
2θ = 32.7°, intensity 19
2θ = 35.9°, intensity 8
2θ = 36.3°, intensity 10
2θ = 39.7°, intensity 13
2θ = 40.0°, intensity 26
2θ = 40.4°, intensity 13
2θ = 45.1°, intensity 38
2θ = 56.2°, intensity 14
2θ = 56.9°, intensity 12
2θ = 74.9°, intensity 9
2θ = 75.1°, intensity 8

Cell and atoms:
```
16
Lattice="5.6781 0.0000 0.0000 0.0000 5.7061 0.0000 -3.0228 0.0000 11.0631" Properties=species:S:1:pos:R:3 pbc="T T T"
Ce 0.6815 0.7341 1.5106
Ce -0.8298 4.9720 7.0422
Ce 3.4852 0.7341 4.0209
Ce 1.9738 4.9720 9.5524
Nd -0.8570 2.1178 9.4866
Nd 0.6544 3.5884 3.9551
Nd 2.0010 2.1178 7.1079
Nd 3.5123 3.5884 1.5764
Rh -0.8372 2.0206 6.4709
Rh 0.6742 3.6856 0.9394
Rh 0.6900 0.7228 4.4182
Rh -0.8214 4.9833 9.9497
Rh 3.4768 0.7228 1.1133
Rh 1.9654 4.9833 6.6448
Rh 1.9812 2.0206 10.1237
Rh 3.4926 3.6856 4.5922
```



No. 11
For CeNdRu2, a crystal structure in Alexandria, relaxed with GGA-PBE gives the calculated PXRD pattern in this record (Cu Ka).
Neutral-atom scattering factors, no anomalous dispersion.

Main lines, sorted by position (10° ≤ 2θ ≤ 90°):
2θ = 27.3°, intensity 27
2θ = 30.3°, intensity 29
2θ = 31.4°, intensity 57
2θ = 33.2°, intensity 100
2θ = 35.0°, intensity 85
2θ = 35.3°, intensity 26
2θ = 38.2°, intensity 48
2θ = 38.6°, intensity 60
2θ = 39.9°, intensity 27
2θ = 40.5°, intensity 60
2θ = 52.0°, intensity 32
2θ = 57.0°, intensity 29

Cell and atoms:
```
16
Lattice="8.9680 0.0000 0.0000 0.0000 5.8918 0.0000 -0.7865 0.0000 6.7176" Properties=species:S:1:pos:R:3 pbc="T T T"
Ce 0.8117 0.8963 2.0349
Ce 0.4184 2.0496 5.3937
Ce 7.7631 3.8422 1.3239
Ce 7.3698 4.9955 4.6827
Nd 3.2390 3.8559 1.2333
Nd 2.8458 4.9819 4.5921
Nd 5.3358 0.9100 2.1255
Nd 4.9425 2.0360 5.4843
Ru 0.6356 3.8209 2.8261
Ru 0.2423 5.0168 6.1849
Ru 2.3360 1.1876 6.7170
Ru 2.7293 1.7583 3.3582
Ru 5.4523 4.1335 3.3594
Ru 5.8455 4.7042 0.0006
Ru 7.9392 0.8750 0.5327
Ru 7.5460 2.0709 3.8915
```



No. 12
For Ce5Nd2Ru3, a crystal structure in Alexandria, relaxed with GGA-PBE gives the calculated PXRD pattern in this record (Cu Ka).
Neutral-atom scattering factors, no anomalous dispersion.

Main lines, sorted by position (10° ≤ 2θ ≤ 90°):
2θ = 28.9°, intensity 34
2θ = 29.6°, intensity 43
2θ = 29.7°, intensity 48
2θ = 30.3°, intensity 44
2θ = 31.7°, intensity 51
2θ = 32.9°, intensity 39
2θ = 33.9°, intensity 40
2θ = 35.0°, intensity 100
2θ = 35.6°, intensity 96
2θ = 35.9°, intensity 37
2θ = 37.2°, intensity 72
2θ = 40.0°, intensity 54

Cell and atoms:
```
20
Lattice="6.2089 0.0000 0.0000 -1.9814 9.2850 0.0000 -1.8804 -3.3536 8.8246" Properties=species:S:1:pos:R:3 pbc="T T T"
Ce -1.2553 0.9804 4.1392
Ce -1.1705 -1.0374 6.7533
Ce 0.3321 4.9241 0.0842
Ce 0.4437 5.6026 3.3209
Ce 2.4818 -0.5461 1.8931
Ce -0.1348 6.4775 6.9316
Ce 1.9034 0.3288 5.5037
Ce 2.0149 1.0074 8.7404
Ce 3.5175 6.9688 2.0714
Ce 3.6024 4.9511 4.6854
Nd -3.0519 4.6100 7.9185
Nd 0.2035 3.2008 6.1228
Nd 2.1436 2.7306 2.7019
Nd 5.3990 1.3215 0.9061
Ru -0.9299 3.7606 2.7480
Ru -1.3885 7.5692 4.4262
Ru 0.2626 -1.5247 8.6600
Ru 2.0844 7.4562 0.1646
Ru 3.7355 -1.6377 4.3985
Ru 3.2769 2.1708 6.0767
```